Record 1
Diffraction record for Na5Ni2P2C2O14. The powder diffractogram is simulated, not measured: it uses a cell relaxed with GGA+U and Cu Kα X-rays.
Lines closer than 0.1° are merged.

Peak list (10 most intense, 15° ≤ 2θ ≤ 90°, most intense first)
- hkl 2 -2 0, 2θ 26.9, I = 100
- hkl 2 -2 2, 2θ 33.6, I = 83
- hkl 2 2 0, 2θ 34.5, I = 79
- hkl 1 -1 1, 2θ 16.6, I = 70
- hkl 3 1 -2, 2θ 42.1, I = 56
- hkl 1 1 -2, 2θ 26.0, I = 55
- hkl -2 2 2, 2θ 33.7, I = 55
- hkl 1 1 1, 2θ 19.9, I = 43
- hkl 2 -2 4, 2θ 49.1, I = 40
- hkl 4 -4 0, 2θ 55.5, I = 39

```
data_Na5Ni2P2C2O14
_chemical_formula_sum 'Na10 Ni4 P4 C4 O28'
_cell_length_a 8.4104
_cell_length_b 8.4364
_cell_length_c 8.9567
_cell_angle_alpha 90.67
_cell_angle_beta 90.56
_cell_angle_gamma 103.72
_space_group_name_H-M_alt 'P 1'
_space_group_IT_number 1
loop_
_space_group_symop_operation_xyz
'x,y,z'
loop_
_atom_site_label
_atom_site_type_symbol
_atom_site_fract_x
_atom_site_fract_y
_atom_site_fract_z
_atom_site_occupancy
Na1 Na 0.1095 0.1124 0.2577 1
Na2 Na 0.1289 0.6428 0.7635 1
Na3 Na 0.2652 0.5192 0.4147 1
Na4 Na 0.3717 0.3602 0.7692 1
Na5 Na 0.3874 0.8831 0.2452 1
Na6 Na 0.6126 0.1169 0.7548 1
Na7 Na 0.6283 0.6398 0.2308 1
Na8 Na 0.7348 0.4808 0.5853 1
Na9 Na 0.8711 0.3572 0.2365 1
Na10 Na 0.8905 0.8876 0.7423 1
Ni1 Ni 0.0160 0.7636 0.1472 1
Ni2 Ni 0.4848 0.7316 0.8527 1
Ni3 Ni 0.5152 0.2684 0.1473 1
Ni4 Ni 0.9840 0.2364 0.8528 1
P1 P 0.2306 0.4808 0.0820 1
P2 P 0.2682 0.0183 0.9238 1
P3 P 0.7318 0.9817 0.0762 1
P4 P 0.7694 0.5192 0.9180 1
C1 C 0.0181 0.2710 0.5724 1
C2 C 0.4897 0.2425 0.4285 1
C3 C 0.5103 0.7575 0.5715 1
C4 C 0.9819 0.7290 0.4276 1
O1 O 0.0341 0.2916 0.4315 1
O2 O 0.0816 0.3325 0.0524 1
O3 O 0.0943 0.8416 0.3685 1
O4 O 0.1163 0.3688 0.6662 1
O5 O 0.1376 0.0768 0.8299 1
O6 O 0.1750 0.6117 0.1793 1
O7 O 0.2001 0.9498 0.0760 1
O8 O 0.3008 0.5494 0.9313 1
O9 O 0.3265 0.8876 0.8299 1
O10 O 0.3618 0.4265 0.1801 1
O11 O 0.3885 0.1431 0.3413 1
O12 O 0.3983 0.6468 0.6386 1
O13 O 0.4174 0.1675 0.9525 1
O14 O 0.4850 0.2411 0.5707 1
O15 O 0.5150 0.7589 0.4293 1
O16 O 0.5826 0.8325 0.0475 1
O17 O 0.6017 0.3532 0.3614 1
O18 O 0.6115 0.8569 0.6587 1
O19 O 0.6382 0.5735 0.8199 1
O20 O 0.6735 0.1124 0.1701 1
O21 O 0.6992 0.4506 0.0687 1
O22 O 0.7999 0.0502 0.9240 1
O23 O 0.8250 0.3883 0.8207 1
O24 O 0.8624 0.9232 0.1701 1
O25 O 0.8837 0.6312 0.3338 1
O26 O 0.9057 0.1584 0.6315 1
O27 O 0.9184 0.6675 0.9476 1
O28 O 0.9659 0.7084 0.5685 1
```

***

Record 2
Diffraction record for Na5Ni2P2C2O14. The powder diffractogram is simulated, not measured: it uses a cell relaxed with GGA+U and Cu Kα X-rays.
Lines closer than 0.1° are merged.

Peak list (10 most intense, 15° ≤ 2θ ≤ 90°, most intense first)
- hkl 0 2 0, 2θ 26.8, I = 100
- hkl 0 0 4, 2θ 34.5, I = 90
- hkl 2 2 0, 2θ 33.7, I = 90
- hkl 1 1 0, 2θ 16.7, I = 52
- hkl 1 2 -2, 2θ 33.4, I = 48
- hkl 2 0 -2, 2θ 26.1, I = 40
- hkl 1 0 2, 2θ 20.0, I = 40
- hkl 0 4 0, 2θ 55.1, I = 36
- hkl 4 2 0, 2θ 49.5, I = 30
- hkl 3 1 2, 2θ 37.9, I = 29

```
data_Na5Ni2P2C2O14
_chemical_formula_sum 'Na10 Ni4 P4 C4 O28'
_cell_length_a 8.8533
_cell_length_b 6.6612
_cell_length_c 10.4087
_cell_angle_alpha 90.00
_cell_angle_beta 91.50
_cell_angle_gamma 90.00
_space_group_name_H-M_alt 'P 1'
_space_group_IT_number 1
loop_
_space_group_symop_operation_xyz
'x,y,z'
loop_
_atom_site_label
_atom_site_type_symbol
_atom_site_fract_x
_atom_site_fract_y
_atom_site_fract_z
_atom_site_occupancy
Na1 Na 0.0855 0.2500 0.1104 1
Na2 Na 0.2567 0.0070 0.3812 1
Na3 Na 0.2567 0.4930 0.3812 1
Na4 Na 0.2711 0.0122 0.8656 1
Na5 Na 0.2711 0.4878 0.8656 1
Na6 Na 0.7289 0.5122 0.1344 1
Na7 Na 0.7289 0.9878 0.1344 1
Na8 Na 0.7433 0.5070 0.6188 1
Na9 Na 0.7433 0.9930 0.6188 1
Na10 Na 0.9145 0.7500 0.8896 1
Ni1 Ni 0.3461 0.7500 0.1098 1
Ni2 Ni 0.3480 0.7500 0.6106 1
Ni3 Ni 0.6520 0.2500 0.3894 1
Ni4 Ni 0.6539 0.2500 0.8902 1
P1 P 0.4177 0.2500 0.1415 1
P2 P 0.4198 0.2500 0.6410 1
P3 P 0.5802 0.7500 0.3590 1
P4 P 0.5823 0.7500 0.8585 1
C1 C 0.0633 0.7500 0.1416 1
C2 C 0.0659 0.7500 0.6443 1
C3 C 0.9341 0.2500 0.3557 1
C4 C 0.9367 0.2500 0.8584 1
O1 O 0.0761 0.2500 0.3384 1
O2 O 0.0799 0.2500 0.8485 1
O3 O 0.1244 0.7500 0.0278 1
O4 O 0.1264 0.7500 0.5329 1
O5 O 0.1587 0.7500 0.2390 1
O6 O 0.1612 0.7500 0.7429 1
O7 O 0.3185 0.0643 0.1051 1
O8 O 0.3185 0.4357 0.1051 1
O9 O 0.3244 0.0622 0.6045 1
O10 O 0.3244 0.4378 0.6045 1
O11 O 0.4274 0.7500 0.4286 1
O12 O 0.4304 0.7500 0.9286 1
O13 O 0.4518 0.2500 0.2901 1
O14 O 0.4531 0.2500 0.7898 1
O15 O 0.5469 0.7500 0.2102 1
O16 O 0.5482 0.7500 0.7099 1
O17 O 0.5696 0.2500 0.0714 1
O18 O 0.5726 0.2500 0.5714 1
O19 O 0.6756 0.5622 0.3955 1
O20 O 0.6756 0.9378 0.3955 1
O21 O 0.6815 0.5643 0.8949 1
O22 O 0.6815 0.9357 0.8949 1
O23 O 0.8388 0.2500 0.2571 1
O24 O 0.8413 0.2500 0.7610 1
O25 O 0.8736 0.2500 0.4671 1
O26 O 0.8756 0.2500 0.9722 1
O27 O 0.9201 0.7500 0.1515 1
O28 O 0.9239 0.7500 0.6616 1
```

***

Record 3
Diffraction record for Na3NiPCO7. The powder diffractogram is simulated, not measured: it uses a cell relaxed with GGA+U and Cu Kα X-rays.
Lines closer than 0.1° are merged.

Peak list (10 most intense, 15° ≤ 2θ ≤ 90°, most intense first)
- hkl 0 2 0, 2θ 26.7, I = 100
- hkl 2 0 0, 2θ 34.5, I = 94
- hkl 0 2 2, 2θ 33.5, I = 92
- hkl 1 2 -1, 2θ 33.3, I = 50
- hkl 0 2 4, 2θ 49.2, I = 43
- hkl 1 0 1, 2θ 20.0, I = 36
- hkl 0 4 0, 2θ 54.9, I = 35
- hkl 0 1 1, 2θ 16.6, I = 32
- hkl 2 1 -2, 2θ 42.0, I = 29
- hkl 1 0 -1, 2θ 19.6, I = 28

```
data_Na3NiPCO7
_chemical_formula_sum 'Na6 Ni2 P2 C2 O14'
_cell_length_a 5.2101
_cell_length_b 6.6857
_cell_length_c 8.8841
_cell_angle_alpha 90.00
_cell_angle_beta 91.30
_cell_angle_gamma 90.00
_space_group_name_H-M_alt 'P 1'
_space_group_IT_number 1
loop_
_space_group_symop_operation_xyz
'x,y,z'
loop_
_atom_site_label
_atom_site_type_symbol
_atom_site_fract_x
_atom_site_fract_y
_atom_site_fract_z
_atom_site_occupancy
Na1 Na 0.2274 0.2500 0.0814 1
Na2 Na 0.2541 0.5082 0.7276 1
Na3 Na 0.2541 0.9918 0.7276 1
Na4 Na 0.7459 0.0082 0.2724 1
Na5 Na 0.7459 0.4918 0.2724 1
Na6 Na 0.7726 0.7500 0.9186 1
Ni1 Ni 0.2212 0.7500 0.3477 1
Ni2 Ni 0.7788 0.2500 0.6523 1
P1 P 0.2848 0.2500 0.4162 1
P2 P 0.7152 0.7500 0.5838 1
C1 C 0.2839 0.7500 0.0638 1
C2 C 0.7161 0.2500 0.9362 1
O1 O 0.0578 0.7500 0.1238 1
O2 O 0.1416 0.2500 0.5667 1
O3 O 0.2141 0.0642 0.3175 1
O4 O 0.2141 0.4358 0.3175 1
O5 O 0.3086 0.7500 0.9196 1
O6 O 0.4193 0.7500 0.5495 1
O7 O 0.4842 0.7500 0.1550 1
O8 O 0.5158 0.2500 0.8450 1
O9 O 0.5807 0.2500 0.4505 1
O10 O 0.6914 0.2500 0.0804 1
O11 O 0.7859 0.5642 0.6825 1
O12 O 0.7859 0.9358 0.6825 1
O13 O 0.8584 0.7500 0.4333 1
O14 O 0.9422 0.2500 0.8762 1
```

***

Record 4
Diffraction record for Na5Ni2P2C2O14. The powder diffractogram is simulated, not measured: it uses a cell relaxed with GGA+U and Cu Kα X-rays.
Lines closer than 0.1° are merged.

Peak list (10 most intense, 15° ≤ 2θ ≤ 90°, most intense first)
- hkl 2 -2 0, 2θ 27.2, I = 100
- hkl 2 2 0, 2θ 34.4, I = 68
- hkl -1 1 1, 2θ 16.7, I = 54
- hkl 1 -3 1, 2θ 33.6, I = 48
- hkl -2 2 2, 2θ 33.8, I = 44
- hkl 3 -1 1, 2θ 34.0, I = 43
- hkl 1 1 1, 2θ 20.0, I = 41
- hkl 1 1 -2, 2θ 25.8, I = 39
- hkl 1 1 -1, 2θ 19.4, I = 38
- hkl 1 3 -2, 2θ 41.9, I = 31

```
data_Na5Ni2P2C2O14
_chemical_formula_sum 'Na10 Ni4 P4 C4 O28'
_cell_length_a 8.3801
_cell_length_b 8.3939
_cell_length_c 8.9585
_cell_angle_alpha 90.88
_cell_angle_beta 91.30
_cell_angle_gamma 103.01
_space_group_name_H-M_alt 'P 1'
_space_group_IT_number 1
loop_
_space_group_symop_operation_xyz
'x,y,z'
loop_
_atom_site_label
_atom_site_type_symbol
_atom_site_fract_x
_atom_site_fract_y
_atom_site_fract_z
_atom_site_occupancy
Na1 Na 0.0000 0.0000 0.0000 1
Na2 Na 0.0067 0.5159 0.4691 1
Na3 Na 0.2327 0.7595 0.0009 1
Na4 Na 0.2478 0.2659 0.4625 1
Na5 Na 0.3687 0.1216 0.8083 1
Na6 Na 0.3930 0.6671 0.6478 1
Na7 Na 0.5120 0.5161 0.9969 1
Na8 Na 0.7382 0.7774 0.4626 1
Na9 Na 0.7537 0.2809 0.9961 1
Na10 Na 0.8760 0.1529 0.6474 1
Ni1 Ni 0.1142 0.3744 0.0761 1
Ni2 Ni 0.1445 0.9047 0.3867 1
Ni3 Ni 0.6112 0.8778 0.0818 1
Ni4 Ni 0.6375 0.3988 0.3868 1
P1 P 0.3559 0.6195 0.3132 1
P2 P 0.3938 0.1550 0.1546 1
P3 P 0.8593 0.1236 0.3092 1
P4 P 0.8917 0.6573 0.1553 1
C1 C 0.1055 0.8747 0.6645 1
C2 C 0.1451 0.4081 0.7954 1
C3 C 0.6050 0.3693 0.6633 1
C4 C 0.6472 0.9072 0.8034 1
O1 O 0.0064 0.7759 0.5734 1
O2 O 0.0322 0.2946 0.8535 1
O3 O 0.0404 0.8048 0.1902 1
O4 O 0.1023 0.8672 0.8069 1
O5 O 0.1604 0.4199 0.6531 1
O6 O 0.2131 0.4677 0.2757 1
O7 O 0.2166 0.9874 0.6023 1
O8 O 0.2442 0.5073 0.8882 1
O9 O 0.2697 0.2155 0.0486 1
O10 O 0.2884 0.7392 0.4145 1
O11 O 0.3167 0.0824 0.2980 1
O12 O 0.4268 0.6944 0.1661 1
O13 O 0.4547 0.0293 0.0530 1
O14 O 0.4878 0.5644 0.4136 1
O15 O 0.5032 0.2719 0.5734 1
O16 O 0.5320 0.7990 0.8672 1
O17 O 0.5407 0.3040 0.1912 1
O18 O 0.5941 0.3589 0.8056 1
O19 O 0.6580 0.9102 0.6621 1
O20 O 0.7156 0.9749 0.2717 1
O21 O 0.7193 0.4764 0.5999 1
O22 O 0.7446 0.0121 0.8925 1
O23 O 0.7627 0.7179 0.0574 1
O24 O 0.8037 0.2547 0.4075 1
O25 O 0.8183 0.5859 0.3031 1
O26 O 0.9336 0.1941 0.1614 1
O27 O 0.9510 0.5283 0.0585 1
O28 O 0.9864 0.0657 0.4128 1
```

***

Record 5
Diffraction record for Na5Ni2P2C2O14. The powder diffractogram is simulated, not measured: it uses a cell relaxed with GGA+U and Cu Kα X-rays.
Lines closer than 0.1° are merged.

Peak list (10 most intense, 15° ≤ 2θ ≤ 90°, most intense first)
- hkl 2 2 -2, 2θ 34.5, I = 100
- hkl -2 2 2, 2θ 33.7, I = 100
- hkl 2 -2 0, 2θ 26.8, I = 94
- hkl 1 -1 1, 2θ 16.7, I = 58
- hkl 3 -1 0, 2θ 33.4, I = 54
- hkl 1 3 0, 2θ 42.0, I = 53
- hkl 1 1 -2, 2θ 20.1, I = 45
- hkl 1 1 1, 2θ 26.1, I = 43
- hkl 4 -4 0, 2θ 55.3, I = 40
- hkl 2 0 -4, 2θ 38.1, I = 32

```
data_Na5Ni2P2C2O14
_chemical_formula_sum 'Na10 Ni4 P4 C4 O28'
_cell_length_a 8.4386
_cell_length_b 8.4488
_cell_length_c 10.1169
_cell_angle_alpha 107.56
_cell_angle_beta 107.48
_cell_angle_gamma 103.89
_space_group_name_H-M_alt 'P 1'
_space_group_IT_number 1
loop_
_space_group_symop_operation_xyz
'x,y,z'
loop_
_atom_site_label
_atom_site_type_symbol
_atom_site_fract_x
_atom_site_fract_y
_atom_site_fract_z
_atom_site_occupancy
Na1 Na 0.0010 0.4866 0.2308 1
Na2 Na 0.0580 0.8061 0.5836 1
Na3 Na 0.2464 0.2538 0.2404 1
Na4 Na 0.2763 0.2631 0.7710 1
Na5 Na 0.4890 0.9818 0.2371 1
Na6 Na 0.5110 0.0182 0.7629 1
Na7 Na 0.7237 0.7369 0.2290 1
Na8 Na 0.7536 0.7462 0.7596 1
Na9 Na 0.9420 0.1939 0.4164 1
Na10 Na 0.9990 0.5134 0.7692 1
Ni1 Ni 0.0609 0.8123 0.1536 1
Ni2 Ni 0.4359 0.6870 0.8460 1
Ni3 Ni 0.5641 0.3130 0.1540 1
Ni4 Ni 0.9391 0.1877 0.8464 1
P1 P 0.1939 0.9436 0.9191 1
P2 P 0.3058 0.5555 0.0814 1
P3 P 0.6942 0.4445 0.9186 1
P4 P 0.8061 0.0564 0.0809 1
C1 C 0.2352 0.9857 0.4356 1
C2 C 0.2618 0.5120 0.5643 1
C3 C 0.7382 0.4880 0.4357 1
C4 C 0.7648 0.0143 0.5644 1
O1 O 0.0621 0.8139 0.9534 1
O2 O 0.0883 0.0221 0.8185 1
O3 O 0.0909 0.8436 0.3760 1
O4 O 0.1607 0.4092 0.9289 1
O5 O 0.1729 0.4258 0.4217 1
O6 O 0.2102 0.4609 0.6594 1
O7 O 0.2237 0.6610 0.1763 1
O8 O 0.2714 0.8354 0.8185 1
O9 O 0.2834 0.0343 0.3393 1
O10 O 0.3164 0.0691 0.5783 1
O11 O 0.3404 0.0889 0.0697 1
O12 O 0.4027 0.6545 0.6246 1
O13 O 0.4136 0.4747 0.1763 1
O14 O 0.4351 0.6871 0.0450 1
O15 O 0.5649 0.3129 0.9550 1
O16 O 0.5864 0.5253 0.8237 1
O17 O 0.5973 0.3455 0.3754 1
O18 O 0.6596 0.9111 0.9303 1
O19 O 0.6836 0.9309 0.4217 1
O20 O 0.7166 0.9657 0.6607 1
O21 O 0.7286 0.1646 0.1815 1
O22 O 0.7763 0.3390 0.8237 1
O23 O 0.7898 0.5391 0.3406 1
O24 O 0.8271 0.5742 0.5783 1
O25 O 0.8393 0.5908 0.0711 1
O26 O 0.9091 0.1564 0.6240 1
O27 O 0.9117 0.9779 0.1815 1
O28 O 0.9379 0.1861 0.0466 1
```

***

> What is the formula in the second record?

Na5Ni2P2C2O14

***

What did the fourth record say?
Diffraction record for Na5Ni2P2C2O14. The powder diffractogram is simulated, not measured: it uses a cell relaxed with GGA+U and Cu Kα X-rays.
Lines closer than 0.1° are merged.

Peak list (10 most intense, 15° ≤ 2θ ≤ 90°, most intense first)
- hkl 2 -2 0, 2θ 27.2, I = 100
- hkl 2 2 0, 2θ 34.4, I = 68
- hkl -1 1 1, 2θ 16.7, I = 54
- hkl 1 -3 1, 2θ 33.6, I = 48
- hkl -2 2 2, 2θ 33.8, I = 44
- hkl 3 -1 1, 2θ 34.0, I = 43
- hkl 1 1 1, 2θ 20.0, I = 41
- hkl 1 1 -2, 2θ 25.8, I = 39
- hkl 1 1 -1, 2θ 19.4, I = 38
- hkl 1 3 -2, 2θ 41.9, I = 31

```
data_Na5Ni2P2C2O14
_chemical_formula_sum 'Na10 Ni4 P4 C4 O28'
_cell_length_a 8.3801
_cell_length_b 8.3939
_cell_length_c 8.9585
_cell_angle_alpha 90.88
_cell_angle_beta 91.30
_cell_angle_gamma 103.01
_space_group_name_H-M_alt 'P 1'
_space_group_IT_number 1
loop_
_space_group_symop_operation_xyz
'x,y,z'
loop_
_atom_site_label
_atom_site_type_symbol
_atom_site_fract_x
_atom_site_fract_y
_atom_site_fract_z
_atom_site_occupancy
Na1 Na 0.0000 0.0000 0.0000 1
Na2 Na 0.0067 0.5159 0.4691 1
Na3 Na 0.2327 0.7595 0.0009 1
Na4 Na 0.2478 0.2659 0.4625 1
Na5 Na 0.3687 0.1216 0.8083 1
Na6 Na 0.3930 0.6671 0.6478 1
Na7 Na 0.5120 0.5161 0.9969 1
Na8 Na 0.7382 0.7774 0.4626 1
Na9 Na 0.7537 0.2809 0.9961 1
Na10 Na 0.8760 0.1529 0.6474 1
Ni1 Ni 0.1142 0.3744 0.0761 1
Ni2 Ni 0.1445 0.9047 0.3867 1
Ni3 Ni 0.6112 0.8778 0.0818 1
Ni4 Ni 0.6375 0.3988 0.3868 1
P1 P 0.3559 0.6195 0.3132 1
P2 P 0.3938 0.1550 0.1546 1
P3 P 0.8593 0.1236 0.3092 1
P4 P 0.8917 0.6573 0.1553 1
C1 C 0.1055 0.8747 0.6645 1
C2 C 0.1451 0.4081 0.7954 1
C3 C 0.6050 0.3693 0.6633 1
C4 C 0.6472 0.9072 0.8034 1
O1 O 0.0064 0.7759 0.5734 1
O2 O 0.0322 0.2946 0.8535 1
O3 O 0.0404 0.8048 0.1902 1
O4 O 0.1023 0.8672 0.8069 1
O5 O 0.1604 0.4199 0.6531 1
O6 O 0.2131 0.4677 0.2757 1
O7 O 0.2166 0.9874 0.6023 1
O8 O 0.2442 0.5073 0.8882 1
O9 O 0.2697 0.2155 0.0486 1
O10 O 0.2884 0.7392 0.4145 1
O11 O 0.3167 0.0824 0.2980 1
O12 O 0.4268 0.6944 0.1661 1
O13 O 0.4547 0.0293 0.0530 1
O14 O 0.4878 0.5644 0.4136 1
O15 O 0.5032 0.2719 0.5734 1
O16 O 0.5320 0.7990 0.8672 1
O17 O 0.5407 0.3040 0.1912 1
O18 O 0.5941 0.3589 0.8056 1
O19 O 0.6580 0.9102 0.6621 1
O20 O 0.7156 0.9749 0.2717 1
O21 O 0.7193 0.4764 0.5999 1
O22 O 0.7446 0.0121 0.8925 1
O23 O 0.7627 0.7179 0.0574 1
O24 O 0.8037 0.2547 0.4075 1
O25 O 0.8183 0.5859 0.3031 1
O26 O 0.9336 0.1941 0.1614 1
O27 O 0.9510 0.5283 0.0585 1
O28 O 0.9864 0.0657 0.4128 1
```